No. 1
This entry pairs a crystal structure of La2SeS2 with its simulated XRD peak list. Radiation: Cu Kα (λ = 1.5418 Å). Structure: the GGA-PBE geometry in Alexandria.
Lines closer than 0.1° are merged.

Main lines, sorted by position (2θ from 10° to 90°):
2θ 23.2, I = 336; 2θ 24.4, I = 688; 2θ 25.2, I = 850; 2θ 27.1, I = 268; 2θ 31.8, I = 277; 2θ 32.4, I = 501; 2θ 34.4, I = 291; 2θ 35.9, I = 754; 2θ 36.8, I = 1000; 2θ 44.2, I = 341

```
La2SeS2
1.0
2.047 -8.311 0.000
2.047 8.311 0.000
0.000 0.000 7.670
La Se S
4 2 4
Direct
0.042 0.958 0.500
0.292 0.708 0.606
0.708 0.292 0.106
0.958 0.042 0.000
0.134 0.866 0.863
0.866 0.134 0.363
0.323 0.677 0.988
0.463 0.537 0.708
0.537 0.463 0.208
0.677 0.323 0.488
```

No. 2
This entry pairs a crystal structure of MoS2Cl3 with its simulated XRD peak list. Radiation: Cu Kα (λ = 1.5418 Å). Structure: the GGA-PBE geometry in Alexandria.
Lines closer than 0.1° are merged.

Main lines, sorted by position (2θ from 10° to 90°):
2θ 13.3, I = 1000; 2θ 13.5, I = 768; 2θ 19.4, I = 147; 2θ 19.5, I = 117; 2θ 30.5, I = 254; 2θ 31.5, I = 204; 2θ 37.0, I = 97; 2θ 37.5, I = 97; 2θ 38.4, I = 131; 2θ 38.9, I = 99

```
MoS2Cl3
1.0
6.249 0.000 0.000
0.000 7.745 0.000
-6.047 0.000 13.104
Mo S Cl
4 8 12
Direct
0.202 0.093 0.005
0.202 0.407 0.505
0.798 0.593 0.495
0.798 0.907 0.995
0.163 0.549 0.648
0.163 0.951 0.148
0.186 0.716 0.548
0.186 0.784 0.048
0.814 0.216 0.952
0.814 0.284 0.452
0.837 0.049 0.852
0.837 0.451 0.352
0.267 0.181 0.635
0.267 0.319 0.135
0.275 0.171 0.417
0.275 0.329 0.917
0.355 0.571 0.389
0.355 0.929 0.889
0.645 0.071 0.111
0.645 0.429 0.611
0.725 0.671 0.083
0.725 0.829 0.583
0.733 0.681 0.865
0.733 0.819 0.365
```

No. 3
This entry pairs a crystal structure of PrZn12Ir4 with its simulated XRD peak list. Radiation: Cu Kα (λ = 1.5418 Å). Structure: the GGA-PBE geometry in Alexandria.
Lines closer than 0.1° are merged.

Main lines, sorted by position (2θ from 10° to 90°):
2θ 20.4, I = 671; 2θ 28.9, I = 1000; 2θ 32.4, I = 823; 2θ 38.6, I = 395; 2θ 41.4, I = 231; 2θ 46.5, I = 769; 2θ 51.3, I = 962; 2θ 53.6, I = 279; 2θ 67.9, I = 314; 2θ 82.8, I = 217

```
PrZn12Ir4
1.0
-4.363 4.363 4.363
4.363 -4.363 4.363
4.363 4.363 -4.363
Pr Zn Ir
1 12 4
Direct
0.000 0.000 0.000
0.164 0.515 0.351
0.164 0.812 0.649
0.188 0.351 0.836
0.351 0.164 0.515
0.351 0.836 0.188
0.485 0.649 0.836
0.515 0.351 0.164
0.649 0.164 0.812
0.649 0.836 0.485
0.812 0.649 0.164
0.836 0.188 0.351
0.836 0.485 0.649
0.000 0.000 0.500
0.000 0.500 0.000
0.500 0.000 0.000
0.500 0.500 0.500
```

No. 4
This entry pairs a crystal structure of Ce2PmF8 with its simulated XRD peak list. Radiation: Cu Kα (λ = 1.5418 Å). Structure: the GGA-PBE geometry in Alexandria.
Lines closer than 0.1° are merged.

Main lines, sorted by position (2θ from 10° to 90°):
2θ 26.2, I = 950; 2θ 26.8, I = 384; 2θ 27.3, I = 803; 2θ 32.9, I = 380; 2θ 42.9, I = 1000; 2θ 45.8, I = 230; 2θ 46.9, I = 198; 2θ 47.6, I = 182; 2θ 54.2, I = 248; 2θ 56.0, I = 198

```
Ce2PmF8
1.0
-1.980 3.328 5.627
1.980 -3.328 5.627
1.980 3.328 -5.627
Ce Pm F
2 1 8
Direct
0.183 0.183 0.000
0.817 0.817 0.000
0.500 0.500 0.000
0.070 0.344 0.725
0.192 0.000 0.192
0.361 0.861 0.500
0.381 0.656 0.725
0.619 0.344 0.275
0.639 0.139 0.500
0.808 0.000 0.808
0.930 0.656 0.275
```